1.
The following is a simulated XRD peak list of La2Cu5Ir. It was derived from a crystal structure in Alexandria, relaxed with GGA-PBE, using Cu Kα X-rays.
Lines closer than 0.1° are merged.

Cell and atoms:
```
data_La2Cu5Ir
_chemical_formula_sum 'La8 Cu20 Ir4'
_cell_length_a 4.204
_cell_length_b 15.757
_cell_length_c 8.953
_cell_angle_alpha 90.00
_cell_angle_beta 90.00
_cell_angle_gamma 90.00
_symmetry_space_group_name_H-M 'C m c m'
_symmetry_Int_Tables_number 63
_symmetry_space_group_name_Hall '-C 2c 2'
loop_
_atom_site_label
_atom_site_fract_x
_atom_site_fract_y
_atom_site_fract_z
La1 0.000 0.000 0.000
La2 0.000 0.196 0.250
Cu1 0.000 0.182 0.615
Cu2 0.000 0.342 0.513
Cu3 0.000 0.397 0.250
Ir1 0.000 0.439 0.750
```

Largest 10 diffraction maxima, in order of falling intensity, 2θ from 15° to 90°:
2θ/deg	I/Imax	hkl
33.9	100	1 3 2
35.6	74	1 5 0
29.7	51	1 1 2
43.0	47	2 0 0
39.8	28	0 6 2
40.3	24	0 0 4
37.4	23	1 1 3
46.0	22	0 6 3
29.0	20	1 3 1
47.2	19	1 5 3

***

2.
The following is a simulated XRD peak list of Ce2Dy5Y6. It was derived from a crystal structure in Alexandria, relaxed with GGA-PBE, using Cu Kα X-rays.
Lines closer than 0.1° are merged.

Cell and atoms:
```
data_Ce2Dy5Y6
_chemical_formula_sum 'Ce4 Dy10 Y12'
_cell_length_a 11.647
_cell_length_b 20.297
_cell_length_c 3.572
_cell_angle_alpha 90.00
_cell_angle_beta 90.00
_cell_angle_gamma 90.00
_symmetry_space_group_name_H-M 'P b a m'
_symmetry_Int_Tables_number 55
loop_
_symmetry_equiv_pos_as_xyz
'x,y,z'
'-x,-y,-z'
'-x,-y,z'
'x,y,-z'
'x+1/2,-y+1/2,-z'
'-x+1/2,y+1/2,z'
'-x+1/2,y+1/2,-z'
'x+1/2,-y+1/2,z'
loop_
_atom_site_label
_atom_site_fract_x
_atom_site_fract_y
_atom_site_fract_z
Ce1 0.171 0.216 0.000
Dy1 0.000 0.500 0.500
Dy2 0.088 0.777 0.500
Dy3 0.200 0.054 0.500
Y1 0.060 0.922 0.000
Y2 0.081 0.635 0.000
Y3 0.178 0.369 0.500
```

Largest 10 diffraction maxima, in order of falling intensity, 2θ from 15° to 90°:
2θ/deg	I/Imax	hkl
32.2	100	2 3 1
31.8	84	1 7 0
31.6	64	1 4 1
31.0	61	4 1 0
34.4	43	2 4 1
36.7	32	3 3 1
30.6	30	2 2 1
35.2	29	3 6 0
61.5	25	1 7 2
51.1	22	0 0 2

***

Please write out number 2 again, unchanged.
The following is a simulated XRD peak list of Ce2Dy5Y6. It was derived from a crystal structure in Alexandria, relaxed with GGA-PBE, using Cu Kα X-rays.
Lines closer than 0.1° are merged.

Cell and atoms:
```
data_Ce2Dy5Y6
_chemical_formula_sum 'Ce4 Dy10 Y12'
_cell_length_a 11.647
_cell_length_b 20.297
_cell_length_c 3.572
_cell_angle_alpha 90.00
_cell_angle_beta 90.00
_cell_angle_gamma 90.00
_symmetry_space_group_name_H-M 'P b a m'
_symmetry_Int_Tables_number 55
loop_
_symmetry_equiv_pos_as_xyz
'x,y,z'
'-x,-y,-z'
'-x,-y,z'
'x,y,-z'
'x+1/2,-y+1/2,-z'
'-x+1/2,y+1/2,z'
'-x+1/2,y+1/2,-z'
'x+1/2,-y+1/2,z'
loop_
_atom_site_label
_atom_site_fract_x
_atom_site_fract_y
_atom_site_fract_z
Ce1 0.171 0.216 0.000
Dy1 0.000 0.500 0.500
Dy2 0.088 0.777 0.500
Dy3 0.200 0.054 0.500
Y1 0.060 0.922 0.000
Y2 0.081 0.635 0.000
Y3 0.178 0.369 0.500
```

Largest 10 diffraction maxima, in order of falling intensity, 2θ from 15° to 90°:
2θ/deg	I/Imax	hkl
32.2	100	2 3 1
31.8	84	1 7 0
31.6	64	1 4 1
31.0	61	4 1 0
34.4	43	2 4 1
36.7	32	3 3 1
30.6	30	2 2 1
35.2	29	3 6 0
61.5	25	1 7 2
51.1	22	0 0 2

***

What is the formula in the second record?
Ce2Dy5Y6

***

What is the formula in the first record?
La2Cu5Ir